For ZrTlCdF7, DFT lattice parameters and positions (GGA-PBE) gives the simulated powder diffraction line list in this record (Cu Kα X-rays).
Intensities are scaled so that the largest is 100.

Most intense lines, 15° ≤ 2θ ≤ 90°, by angle:
| 2theta | I_rel |
| --- | --- |
| 25.5 | 100 |
| 25.6 | 60 |
| 26.0 | 72 |
| 26.9 | 86 |
| 36.8 | 46 |
| 41.8 | 28 |
| 45.1 | 32 |
| 46.0 | 31 |
| 47.2 | 40 |
| 50.4 | 31 |

Atomic structure:
```
data_ZrTlCdF7
_cell_length_a 6.635
_cell_length_b 6.635
_cell_length_c 8.644
_cell_angle_alpha 90.00
_cell_angle_beta 90.00
_cell_angle_gamma 116.82
_space_group_name_H-M_alt 'P 1'
_space_group_IT_number 1
_space_group_name_Hall 'P 1'
loop_
_atom_site_label
_atom_site_type_symbol
_atom_site_fract_x
_atom_site_fract_y
_atom_site_fract_z
Zr1 Zr 0.191 0.809 0.750
Zr2 Zr 0.809 0.191 0.250
Tl1 Tl 0.500 0.500 0.000
Tl2 Tl 0.500 0.500 0.500
Cd1 Cd 0.192 0.808 0.250
Cd2 Cd 0.808 0.192 0.750
F1 F 0.009 0.991 0.750
F2 F 0.155 0.436 0.250
F3 F 0.170 0.476 0.750
F4 F 0.201 0.799 0.514
F5 F 0.201 0.799 0.986
F6 F 0.436 0.155 0.750
F7 F 0.476 0.170 0.250
F8 F 0.524 0.830 0.750
F9 F 0.564 0.845 0.250
F10 F 0.799 0.201 0.014
F11 F 0.799 0.201 0.486
F12 F 0.830 0.524 0.250
F13 F 0.845 0.564 0.750
F14 F 0.991 0.009 0.250
```